For KUVO6, a crystal structure in Alexandria, relaxed with PBE+U gives the theoretical powder diffractogram in this record (copper Kα).

Structural model:
abc: 6.913 8.437 10.613
angles: 90.00 100.19 90.00
Fractional positions:
K: 0.025 0.209 0.332
K: 0.025 0.291 0.832
K: 0.975 0.709 0.168
K: 0.975 0.791 0.668
U: 0.490 0.019 0.180
U: 0.490 0.481 0.680
U: 0.510 0.519 0.320
U: 0.510 0.981 0.820
V: 0.386 0.646 0.949
V: 0.386 0.854 0.449
V: 0.614 0.146 0.551
V: 0.614 0.354 0.051
O: 0.150 0.629 0.952
O: 0.150 0.871 0.452
O: 0.227 0.067 0.143
O: 0.227 0.433 0.643
O: 0.247 0.030 0.780
O: 0.247 0.470 0.280
O: 0.412 0.711 0.786
O: 0.412 0.789 0.286
O: 0.460 0.654 0.506
O: 0.460 0.846 0.006
O: 0.467 0.060 0.395
O: 0.467 0.440 0.895
O: 0.533 0.560 0.105
O: 0.533 0.940 0.605
O: 0.540 0.154 0.994
O: 0.540 0.346 0.494
O: 0.588 0.211 0.714
O: 0.588 0.289 0.214
O: 0.753 0.530 0.720
O: 0.753 0.970 0.220
O: 0.773 0.567 0.357
O: 0.773 0.933 0.857
O: 0.850 0.129 0.548
O: 0.850 0.371 0.048

Top 8 peaks for 10 to 90 degrees two-theta, low angle first:
| hkl | Position (°2θ) | Rel. int. |
| --- | --- | --- |
| 1 0 0 | 13.01 | 100 |
| 0 2 0 | 21.06 | 17 |
| 1 2 0 | 24.83 | 38 |
| 2 0 0 | 26.19 | 22 |
| 0 1 3 | 27.72 | 29 |
| 1 1 -3 | 28.68 | 36 |
| 1 2 -2 | 28.86 | 16 |
| 3 1 -3 | 44.96 | 16 |